Computed powder diffractogram
Compound: Cr2Te3
Radiation: copper Kα
Structure: a DFT-relaxed cell (GGA-PBE, the Materials Project)
Neutral-atom scattering factors, no anomalous dispersion.

Structure:
Cell: 6.8973 6.8973 12.3001 Å, 90.00 90.00 120.00°
Space group P-31c (No. 163)
One atom of each set of equivalent atoms:
Cr  0.0000  0.0000  0.0000 x2
Cr  0.3333  0.6667  0.0072 x4
Cr  0.3333  0.6667  0.7500 x2
Te  0.0049  0.3343  0.8776 x12

Most intense lines, 2θ = 5–70°, by angle:
hkl	Position (°2θ)	I/Imax
0 0 2	14.40	4
1 0 1	16.50	3
1 1 0	25.83	4
0 0 4	29.04	11
1 1 2	29.70	100
1 1 4	39.25	38
3 0 0	45.56	33
2 -1 6	51.89	21
3 0 4	54.94	12
4 -2 2	55.33	17
0 0 8	60.19	5
4 -2 4	61.67	9

Computed powder diffractogram
Compound: Fe2CuN2
Radiation: copper Kα
Structure: a DFT-relaxed cell (GGA-PBE, the Materials Project)
Neutral-atom scattering factors, no anomalous dispersion.

Structure:
Cell: 3.442 3.442 10.532 Å, 90.00 90.00 90.00°
Space group I4/mmm (No. 139)
One atom of each set of equivalent atoms:
Fe  0.000  0.500  0.250 x4
Cu  0.000  0.000  0.000 x2
N  0.000  0.000  0.174 x4

Most intense lines, 2θ = 5–70°, by angle:
hkl	Position (°2θ)	I/Imax
0 0 2	16.84	40
1 0 1	27.26	70
0 0 4	34.05	45
1 0 3	36.56	9
1 1 2	40.85	100
1 0 5	50.82	13
1 1 4	51.11	5
2 0 0	53.23	32
2 0 2	56.24	5
2 1 1	60.82	12
2 0 4	64.71	25
1 1 6	65.57	32

Computed powder diffractogram
Compound: Dy2AlCo2
Radiation: copper Kα
Structure: a DFT-relaxed cell (GGA-PBE, the Materials Project)
Neutral-atom scattering factors, no anomalous dispersion.

Structure:
Cell: 4.018 5.470 8.381 Å, 90.00 90.00 90.00°
Space group Immm (No. 71)
One atom of each set of equivalent atoms:
Dy  0.000  0.000  0.204 x4
Al  0.000  0.500  0.000 x2
Co  0.000  0.277  0.500 x4

Most intense lines, 2θ = 5–70°, by angle:
hkl	Position (°2θ)	I/Imax
0 1 1	19.38	16
1 1 0	27.55	69
0 2 0	32.75	16
1 1 2	35.02	100
0 1 3	36.10	29
0 2 2	39.31	90
1 2 1	41.36	35
2 0 0	45.13	27
1 3 0	55.33	17
2 1 3	59.10	14
2 2 2	61.39	25
1 2 5	69.85	28

Computed powder diffractogram
Compound: Zn3P2O8
Radiation: copper Kα
Structure: a DFT-relaxed cell (GGA-PBE, the Materials Project)
Neutral-atom scattering factors, no anomalous dispersion.

Structure:
Cell: 8.426 9.243 8.881 Å, 90.00 113.00 90.00°
Space group P2_1/c (No. 14)
One atom of each set of equivalent atoms:
Zn  0.015  0.108  0.371 x4
Zn  0.292  0.112  0.052 x4
Zn  0.416  0.733  0.033 x4
P  0.143  0.614  0.681 x4
P  0.355  0.062  0.691 x4
O  0.040  0.183  0.919 x4
O  0.127  0.042  0.234 x4
O  0.160  0.022  0.605 x4
O  0.225  0.724  0.821 x4
O  0.251  0.600  0.574 x4
O  0.391  0.185  0.591 x4
O  0.394  0.116  0.869 x4
O  0.468  0.573  0.198 x4

Most intense lines, 2θ = 5–70°, by angle:
hkl	Position (°2θ)	I/Imax
1 1 -2	22.40	51
2 1 -2	26.55	100
1 2 1	26.86	23
1 2 -2	28.02	32
1 0 2	28.38	47
2 2 -1	28.74	46
0 2 2	29.17	26
2 1 1	30.69	72
1 3 0	31.24	35
0 1 3	34.35	22
1 3 -2	35.59	35
4 1 -3	46.71	23